(1)
Theoretical powder XRD pattern of ErHfZn2Pt4 for a wavelength of 1.5418 Å, from the GGA-PBE geometry in OQMD.

Largest 12 diffraction maxima, sorted by position, 10 to 80 degrees two-theta:
two_theta  d (Å)  I (rel.)
13.58  6.521  1
23.67  3.759  6
27.40  3.255  6
39.14  2.302  100
46.25  1.963  3
48.44  1.879  2
50.50  1.807  1
56.45  1.630  5
56.59  1.626  12
62.15  1.494  1
63.99  1.455  2
70.92  1.329  34

a b c (Å): 4.5998 4.5998 6.5207
angles (deg): 90.00 90.00 90.00
Sites, in units of the cell vectors:
Er (0.0000, 0.0000, 0.0000)
Hf (0.5000, 0.5000, 0.5000)
Zn (0.0000, 0.0000, 0.5000)
Zn (0.5000, 0.5000, 0.0000)
Pt (0.0000, 0.5000, 0.2645)
Pt (0.0000, 0.5000, 0.7355)
Pt (0.5000, 0.0000, 0.2645)
Pt (0.5000, 0.0000, 0.7355)

***

(2)
Theoretical powder XRD pattern of TmB3W for a wavelength of 1.5418 Å, from the GGA-PBE geometry in OQMD.

Largest 12 diffraction maxima, sorted by position, 10 to 80 degrees two-theta:
two_theta  d (Å)  I (rel.)
26.88  3.317  76
33.14  2.703  100
33.87  2.646  55
37.19  2.417  18
39.02  2.308  21
39.15  2.301  23
39.48  2.282  15
40.82  2.211  59
45.42  1.997  37
59.23  1.560  23
64.59  1.443  15
69.52  1.352  19

a b c (Å): 5.4007 3.1454 6.7749
angles (deg): 90.00 101.70 90.00
Sites, in units of the cell vectors:
Tm (0.1762, 0.2500, 0.2082)
Tm (0.8238, 0.7500, 0.7918)
B (0.0835, 0.7500, 0.4919)
B (0.4122, 0.7500, 0.4937)
B (0.4136, 0.7500, 0.9765)
B (0.5864, 0.2500, 0.0235)
B (0.5878, 0.2500, 0.5063)
B (0.9165, 0.2500, 0.5081)
W (0.3103, 0.2500, 0.7213)
W (0.6897, 0.7500, 0.2787)

***

(3)
Theoretical powder XRD pattern of Cu7Ag3 for a wavelength of 1.5418 Å, from the GGA-PBE geometry in OQMD.

Largest 12 diffraction maxima, sorted by position, 10 to 80 degrees two-theta:
two_theta  d (Å)  I (rel.)
19.33  4.593  2
24.22  3.674  3
32.79  2.731  3
38.34  2.347  14
41.18  2.192  100
44.41  2.040  11
47.05  1.931  39
49.63  1.837  8
66.67  1.403  8
68.74  1.366  12
70.79  1.331  11
75.22  1.263  2

a b c (Å): 2.7313 2.7313 18.3705
angles (deg): 90.00 90.00 90.00
Sites, in units of the cell vectors:
Cu (0.0000, 0.0000, 0.0000)
Cu (0.0000, 0.0000, 0.1782)
Cu (0.0000, 0.0000, 0.3933)
Cu (0.0000, 0.0000, 0.6067)
Cu (0.0000, 0.0000, 0.8218)
Cu (0.5000, 0.5000, 0.0893)
Cu (0.5000, 0.5000, 0.9107)
Ag (0.5000, 0.5000, 0.2860)
Ag (0.5000, 0.5000, 0.5000)
Ag (0.5000, 0.5000, 0.7140)

***

(4)
Theoretical powder XRD pattern of TbLuGa2Pd4 for a wavelength of 1.5418 Å, from the GGA-PBE geometry in OQMD.

Largest 12 diffraction maxima, sorted by position, 10 to 80 degrees two-theta:
two_theta  d (Å)  I (rel.)
23.40  3.802  23
25.44  3.502  7
30.80  2.903  17
38.24  2.354  100
41.12  2.195  78
52.25  1.751  4
57.40  1.605  30
58.80  1.571  5
67.14  1.394  12
73.02  1.296  29
74.93  1.267  13
77.05  1.238  11

a b c (Å): 4.3901 4.3901 8.9917
angles (deg): 90.00 90.00 120.00
Sites, in units of the cell vectors:
Tb (0.0000, 0.0000, 0.0000)
Lu (0.3333, 0.6667, 0.5000)
Ga (0.6667, 0.3333, 0.2514)
Ga (0.6667, 0.3333, 0.7486)
Pd (0.0000, 0.0000, 0.3366)
Pd (0.0000, 0.0000, 0.6634)
Pd (0.3333, 0.6667, 0.1720)
Pd (0.3333, 0.6667, 0.8280)

***

(5)
Theoretical powder XRD pattern of TbGdTe2As2 for a wavelength of 1.5418 Å, from the GGA-PBE geometry in OQMD.

Largest 12 diffraction maxima, sorted by position, 10 to 80 degrees two-theta:
two_theta  d (Å)  I (rel.)
23.82  3.735  12
29.33  3.045  35
30.89  2.895  29
32.45  2.759  35
36.79  2.443  100
44.25  2.047  33
53.98  1.699  17
55.10  1.667  16
58.87  1.569  26
64.36  1.448  11
73.23  1.292  14
76.49  1.245  17

a b c (Å): 4.0942 4.0942 9.1237
angles (deg): 90.00 90.00 90.00
Sites, in units of the cell vectors:
Tb (0.0000, 0.0000, 0.0000)
Gd (0.5000, 0.5000, 0.4925)
Te (0.0000, 0.0000, 0.3707)
Te (0.5000, 0.5000, 0.1202)
As (0.0000, 0.5000, 0.7470)
As (0.5000, 0.0000, 0.7470)

***

(6)
Theoretical powder XRD pattern of Rb2TbAg2Te4 for a wavelength of 1.5418 Å, from the GGA-PBE geometry in OQMD.

Largest 12 diffraction maxima, sorted by position, 10 to 80 degrees two-theta:
two_theta  d (Å)  I (rel.)
12.39  7.146  29
19.72  4.502  14
26.52  3.361  100
29.42  3.036  45
36.74  2.446  64
37.94  2.372  53
46.81  1.941  50
46.90  1.937  18
63.37  1.468  11
65.40  1.427  17
67.75  1.383  18
74.81  1.269  19

a b c (Å): 7.8931 7.8931 6.7114
angles (deg): 90.00 90.00 129.74
Sites, in units of the cell vectors:
Rb (0.0000, 0.5000, 0.2418)
Rb (0.5000, 0.0000, 0.7582)
Tb (0.0000, 0.0000, 0.5000)
Ag (0.0000, 0.0000, 0.0000)
Ag (0.5000, 0.5000, 0.5000)
Te (0.1452, 0.3712, 0.7586)
Te (0.3712, 0.1452, 0.2414)
Te (0.6288, 0.8548, 0.2414)
Te (0.8548, 0.6288, 0.7586)

***

(7)
Theoretical powder XRD pattern of Dy2AlNiIr for a wavelength of 1.5418 Å, from the GGA-PBE geometry in OQMD.

Largest 12 diffraction maxima, sorted by position, 10 to 80 degrees two-theta:
two_theta  d (Å)  I (rel.)
19.12  4.642  44
23.85  3.732  18
26.78  3.329  68
34.29  2.615  100
35.73  2.513  30
38.60  2.333  73
38.80  2.321  72
40.49  2.228  76
43.52  2.079  40
54.23  1.691  19
59.72  1.548  54
68.82  1.364  42

a b c (Å): 5.4681 5.4681 5.4681
angles (deg): 135.30 78.76 118.96
Sites, in units of the cell vectors:
Dy (0.2006, 0.0000, 0.2006)
Dy (0.7994, 0.0000, 0.7994)
Al (0.5009, 0.5009, 0.0000)
Ni (0.7534, 0.2534, 0.5000)
Ir (0.2253, 0.7253, 0.5000)